Theoretical powder diffractogram
Compound: GaAg5Au2
Radiation: Cu Kα X-rays
Structure: a PBE-relaxed structure
Lines closer than 0.1° are merged.

Largest 10 diffraction maxima, by intensity, 2θ from 10° to 80°:
2θ/deg, Rel. int.
37.53, 100
37.81, 88
44.20, 55
63.30, 37
42.91, 35
76.71, 19
77.24, 14
75.05, 13
38.62, 11
75.23, 11

Atomic structure:
```
data_GaAg5Au2
_chemical_formula_sum 'Ga2 Ag10 Au4'
_symmetry_space_group_name_H-M 'P b a m'
_symmetry_Int_Tables_number 55
_symmetry_space_group_name_Hall '-P 2 2ab'
_cell_length_a 5.765
_cell_length_b 11.653
_cell_length_c 4.216
_cell_angle_alpha 90.00
_cell_angle_beta 90.00
_cell_angle_gamma 90.00
loop_
_atom_site_label
_atom_site_fract_x
_atom_site_fract_y
_atom_site_fract_z
Ga1 0.000 0.000 0.000
Ag1 0.000 0.500 0.000
Ag2 0.033 0.246 0.000
Ag3 0.218 0.631 0.500
Au1 0.220 0.883 0.500
```

***

Theoretical powder diffractogram
Compound: Ga2AgAu2
Radiation: Cu Kα X-rays
Structure: a PBE-relaxed structure
Lines closer than 0.1° are merged.

Largest 10 diffraction maxima, by intensity, 2θ from 10° to 80°:
2θ/deg, Rel. int.
39.26, 100
37.43, 60
27.64, 52
30.57, 44
50.56, 41
36.62, 32
41.68, 32
77.38, 27
49.07, 24
25.51, 20

Atomic structure:
```
data_Ga2AgAu2
_chemical_formula_sum 'Ga8 Ag4 Au8'
_symmetry_space_group_name_H-M 'P n m a'
_symmetry_Int_Tables_number 62
_symmetry_space_group_name_Hall '-P 2ac 2n'
_cell_length_a 5.850
_cell_length_b 4.805
_cell_length_c 13.058
_cell_angle_alpha 90.00
_cell_angle_beta 90.00
_cell_angle_gamma 90.00
loop_
_atom_site_label
_atom_site_fract_x
_atom_site_fract_y
_atom_site_fract_z
Ga1 0.007 0.250 0.056
Ga2 0.010 0.750 0.355
Ag1 0.244 0.750 0.751
Au1 0.002 0.250 0.439
Au2 0.007 0.750 0.153
```

***

Repeat the first record exactly.
Theoretical powder diffractogram
Compound: GaAg5Au2
Radiation: Cu Kα X-rays
Structure: a PBE-relaxed structure
Lines closer than 0.1° are merged.

Largest 10 diffraction maxima, by intensity, 2θ from 10° to 80°:
2θ/deg, Rel. int.
37.53, 100
37.81, 88
44.20, 55
63.30, 37
42.91, 35
76.71, 19
77.24, 14
75.05, 13
38.62, 11
75.23, 11

Atomic structure:
```
data_GaAg5Au2
_chemical_formula_sum 'Ga2 Ag10 Au4'
_symmetry_space_group_name_H-M 'P b a m'
_symmetry_Int_Tables_number 55
_symmetry_space_group_name_Hall '-P 2 2ab'
_cell_length_a 5.765
_cell_length_b 11.653
_cell_length_c 4.216
_cell_angle_alpha 90.00
_cell_angle_beta 90.00
_cell_angle_gamma 90.00
loop_
_atom_site_label
_atom_site_fract_x
_atom_site_fract_y
_atom_site_fract_z
Ga1 0.000 0.000 0.000
Ag1 0.000 0.500 0.000
Ag2 0.033 0.246 0.000
Ag3 0.218 0.631 0.500
Au1 0.220 0.883 0.500
```